(1)
# Mn2CoN2
Calculated powder X-ray diffraction pattern, Cu Kα X-rays. Input: a DFT-relaxed cell (GGA-PBE, the Materials Project).

Structure:
a = 4.9151 Å, b = 3.5721 Å, c = 5.7299 Å
α = 90.00°, β = 105.25°, γ = 90.00°
Space group C2/m (No. 12)
Symmetry-distinct sites (fractional):
Mn1 0.1303 0.0000 0.3428 x4
Co1 0.0000 0.5000 0.0000 x2
N1 0.2456 0.5000 0.3027 x4

Main lines, in order of rising 2θ (15 to 90 degrees two-theta):
2θ (°), d [Å], I/Imax, hkl
33.0, 2.717, 26, 1 1 -1
37.1, 2.422, 69, 2 0 -1
37.7, 2.386, 100, 1 1 1
41.7, 2.164, 78, 1 1 -2
49.5, 1.843, 39, 0 0 3
51.1, 1.786, 35, 0 2 0
57.5, 1.603, 21, 2 0 2
64.5, 1.446, 18, 3 1 0
64.9, 1.437, 23, 2 2 -1
73.9, 1.283, 19, 0 2 3

***

(2)
# Mn2CoN2
Calculated powder X-ray diffraction pattern, Cu Kα X-rays. Input: a DFT-relaxed cell (GGA-PBE, the Materials Project).

Structure:
a = 2.8696 Å, b = 11.4921 Å, c = 2.8659 Å
α = 90.00°, β = 90.00°, γ = 90.00°
Space group Pmmn (No. 59, origin choice 2)
Symmetry-distinct sites (fractional):
Mn1 0.2500 0.0985 0.2464 x4
Co1 0.2500 0.7500 0.2532 x2
N1 0.2500 0.5874 0.2510 x4

Main lines, in order of rising 2θ (15 to 90 degrees two-theta):
2θ (°), d [Å], I/Imax, hkl
39.2, 2.296, 100, 1 3 0
44.7, 2.028, 65, 1 0 1
47.5, 1.915, 23, 0 6 0
50.9, 1.793, 9, 1 5 0
65.0, 1.435, 11, 2 0 0
65.1, 1.433, 9, 0 0 2
67.2, 1.392, 27, 1 6 1
78.7, 1.216, 24, 2 3 1
84.3, 1.148, 7, 2 6 0
84.4, 1.147, 7, 0 6 2

***

(3)
# Mn3Co8N8
Calculated powder X-ray diffraction pattern, Cu Kα X-rays. Input: a DFT-relaxed cell (GGA-PBE, the Materials Project).

Structure:
a = 14.1516 Å, b = 3.9528 Å, c = 6.5103 Å
α = 90.00°, β = 108.30°, γ = 90.00°
Space group C2/m (No. 12)
Symmetry-distinct sites (fractional):
Mn1 0.0000 0.0000 0.0000 x2
Mn2 0.2195 0.5000 0.6843 x4
Co1 0.0229 0.5000 0.7146 x4
Co2 0.0924 0.0000 0.4731 x4
Co3 0.1456 0.5000 0.1891 x4
Co4 0.1768 0.0000 0.9232 x4
N1 0.0457 0.0000 0.7330 x4
N2 0.1109 0.5000 0.4446 x4
N3 0.1423 0.0000 0.2087 x4
N4 0.1768 0.5000 0.9163 x4

Main lines, in order of rising 2θ (15 to 90 degrees two-theta):
2θ (°), d [Å], I/Imax, hkl
39.2, 2.298, 100, 1 1 2
39.4, 2.289, 94, 5 1 -1
43.7, 2.070, 57, 4 0 -3
45.9, 1.976, 63, 0 2 0
47.3, 1.921, 47, 6 0 1
65.3, 1.429, 30, 4 2 -3
66.2, 1.412, 13, 2 0 4
68.1, 1.378, 28, 6 2 1
80.4, 1.194, 11, 1 3 2
84.3, 1.149, 13, 2 2 4

***

(4)
# Nd2Mn5Co12
Calculated powder X-ray diffraction pattern, Cu Kα X-rays. Input: a DFT-relaxed cell (GGA-PBE, the Materials Project).

Structure:
a = 8.3870 Å, b = 8.3870 Å, c = 8.2347 Å
α = 90.00°, β = 90.00°, γ = 120.00°
Space group P6_3/mmc (No. 194)
Symmetry-distinct sites (fractional):
Nd1 0.0000 0.0000 0.2500 x2
Nd2 0.3333 0.6667 0.2500 x2
Mn1 0.0000 0.5000 0.0000 x6
Mn2 0.3333 0.6667 0.6155 x4
Co1 0.0467 0.3768 0.7500 x12
Co2 0.1662 0.3324 0.0117 x12

Main lines, in order of rising 2θ (15 to 90 degrees two-theta):
2θ (°), d [Å], I/Imax, hkl
30.4, 2.938, 39, 1 1 2
37.1, 2.421, 37, 3 0 0
41.2, 2.190, 28, 2 0 3
43.1, 2.097, 58, 2 2 0
43.4, 2.087, 100, 3 0 2
44.0, 2.059, 34, 0 0 4
48.7, 1.868, 20, 2 2 2
62.8, 1.479, 17, 4 1 2
63.3, 1.469, 17, 2 2 4
80.4, 1.194, 17, 3 0 6

***

(5)
# MnCoNiSn
Calculated powder X-ray diffraction pattern, Cu Kα X-rays. Input: a DFT-relaxed cell (GGA-PBE, the Materials Project).

Structure:
a = 6.0252 Å, b = 6.0252 Å, c = 6.0252 Å
α = 90.00°, β = 90.00°, γ = 90.00°
Space group F-43m (No. 216)
Symmetry-distinct sites (fractional):
Mn1 0.0000 0.0000 0.0000 x4
Co1 0.2500 0.2500 0.7500 x4
Ni1 0.2500 0.2500 0.2500 x4
Sn1 0.0000 0.0000 0.5000 x4

Main lines, in order of rising 2θ (15 to 90 degrees two-theta):
2θ (°), d [Å], I/Imax, hkl
25.6, 3.479, 11, 1 1 1
29.7, 3.013, 3, 2 0 0
42.4, 2.130, 100, 2 2 0
50.2, 1.817, 6, 3 1 1
52.6, 1.739, 1, 2 2 2
61.6, 1.506, 16, 4 0 0
67.8, 1.382, 3, 3 3 1
69.8, 1.347, 2, 4 2 0
77.6, 1.230, 32, 4 2 2
83.3, 1.160, 3, 5 1 1

***

(6)
# MnCoP2
Calculated powder X-ray diffraction pattern, Cu Kα X-rays. Input: a DFT-relaxed cell (GGA-PBE, the Materials Project).

Structure:
a = 3.0664 Å, b = 5.7632 Å, c = 5.1903 Å
α = 90.00°, β = 90.00°, γ = 90.00°
Space group Pmc2_1 (No. 26)
Symmetry-distinct sites (fractional):
Mn1 0.0000 0.0550 0.0000 x2
Co1 0.5000 0.4563 0.9966 x2
P1 0.0000 0.3168 0.6836 x2
P2 0.5000 0.1810 0.3032 x2

Main lines, in order of rising 2θ (15 to 90 degrees two-theta):
2θ (°), d [Å], I/Imax, hkl
33.1, 2.707, 70, 1 1 0
34.6, 2.595, 22, 0 0 2
37.5, 2.400, 34, 1 1 1
46.7, 1.947, 48, 1 2 1
47.1, 1.928, 50, 0 2 2
48.6, 1.873, 100, 1 1 2
50.7, 1.802, 26, 0 3 1
56.5, 1.628, 30, 1 3 0
60.4, 1.533, 23, 2 0 0
79.9, 1.200, 19, 2 2 2

***

Copy entry 1 word for word.
# Mn2CoN2
Calculated powder X-ray diffraction pattern, Cu Kα X-rays. Input: a DFT-relaxed cell (GGA-PBE, the Materials Project).

Structure:
a = 4.9151 Å, b = 3.5721 Å, c = 5.7299 Å
α = 90.00°, β = 105.25°, γ = 90.00°
Space group C2/m (No. 12)
Symmetry-distinct sites (fractional):
Mn1 0.1303 0.0000 0.3428 x4
Co1 0.0000 0.5000 0.0000 x2
N1 0.2456 0.5000 0.3027 x4

Main lines, in order of rising 2θ (15 to 90 degrees two-theta):
2θ (°), d [Å], I/Imax, hkl
33.0, 2.717, 26, 1 1 -1
37.1, 2.422, 69, 2 0 -1
37.7, 2.386, 100, 1 1 1
41.7, 2.164, 78, 1 1 -2
49.5, 1.843, 39, 0 0 3
51.1, 1.786, 35, 0 2 0
57.5, 1.603, 21, 2 0 2
64.5, 1.446, 18, 3 1 0
64.9, 1.437, 23, 2 2 -1
73.9, 1.283, 19, 0 2 3

***

What is the formula in the sixth record?
MnCoP2